No. 1
Theoretical powder diffractogram of Ac4La3Tb4 for CuKα, from a DFT-relaxed cell (GGA-PBE, Alexandria).

Main lines, by angle (2θ from 5° to 70°):
| d (Å) | intensity |
| --- | --- |
| 3.129 | 30.3 |
| 3.076 | 35.1 |
| 3.006 | 67.9 |
| 2.969 | 55.9 |
| 2.959 | 100.0 |
| 2.830 | 26.2 |
| 2.136 | 25.7 |
| 1.712 | 23.0 |
| 1.705 | 17.6 |
| 1.586 | 50.9 |

Structural model:
Cell lengths 3.755, 5.939, 19.094 Å; angles 98.94, 95.64, 90.01 degrees
Fractional coordinates of all 11 atoms:
1 Ac 0.000 0.000 0.000
2 Ac 0.124 0.625 0.253
3 Ac 0.312 0.809 0.620
4 Ac 0.446 0.443 0.889
5 La 0.590 0.091 0.184
6 La 0.716 0.715 0.432
7 La 0.858 0.355 0.711
8 Tb 0.186 0.184 0.369
9 Tb 0.541 0.541 0.083
10 Tb 0.767 0.264 0.530
11 Tb 0.903 0.901 0.803

---

No. 2
Theoretical powder diffractogram of LiNpBiO2 for CuKα, from a DFT-relaxed cell (GGA-PBE, Alexandria).

Main lines, by angle (2θ from 5° to 70°):
| d (Å) | intensity |
| --- | --- |
| 6.706 | 32.1 |
| 3.684 | 47.4 |
| 3.353 | 14.9 |
| 2.909 | 100.0 |
| 2.710 | 35.8 |
| 2.512 | 14.7 |
| 2.107 | 12.0 |
| 1.916 | 17.9 |
| 1.724 | 24.2 |
| 1.600 | 35.3 |

Structural model:
Cell lengths 3.832, 3.832, 13.413 Å; angles 90.00, 90.00, 90.00 degrees
Fractional coordinates of all 10 atoms:
1 Li 0.000 0.000 0.000
2 Li 0.500 0.500 0.500
3 Np 0.000 0.000 0.624
4 Np 0.500 0.500 0.124
5 Bi 0.000 0.000 0.300
6 Bi 0.500 0.500 0.800
7 O 0.000 0.500 0.057
8 O 0.000 0.500 0.557
9 O 0.500 0.000 0.057
10 O 0.500 0.000 0.557

---

No. 3
Theoretical powder diffractogram of GdEr4Al15 for CuKα, from a DFT-relaxed cell (GGA-PBE, Alexandria).

Main lines, by angle (2θ from 5° to 70°):
| d (Å) | intensity |
| --- | --- |
| 4.544 | 70.5 |
| 3.670 | 75.7 |
| 3.410 | 70.8 |
| 3.046 | 100.0 |
| 2.530 | 53.2 |
| 2.384 | 53.4 |
| 2.344 | 70.1 |
| 2.272 | 68.3 |
| 1.877 | 49.7 |
| 1.523 | 38.7 |

Structural model:
Cell lengths 12.427, 12.427, 12.427 Å; angles 28.38, 28.38, 28.38 degrees
Fractional coordinates of all 20 atoms:
1 Gd 0.000 0.000 0.000
2 Er 0.131 0.131 0.131
3 Er 0.400 0.400 0.400
4 Er 0.600 0.600 0.600
5 Er 0.869 0.869 0.869
6 Al 0.000 0.500 0.500
7 Al 0.118 0.118 0.565
8 Al 0.118 0.565 0.118
9 Al 0.130 0.636 0.636
10 Al 0.364 0.364 0.870
11 Al 0.364 0.870 0.364
12 Al 0.435 0.882 0.882
13 Al 0.500 0.000 0.500
14 Al 0.500 0.500 0.000
15 Al 0.565 0.118 0.118
16 Al 0.636 0.130 0.636
17 Al 0.636 0.636 0.130
18 Al 0.870 0.364 0.364
19 Al 0.882 0.435 0.882
20 Al 0.882 0.882 0.435

---

No. 4
Theoretical powder diffractogram of Sm2DyAl2 for CuKα, from a DFT-relaxed cell (GGA-PBE, Alexandria).

Main lines, by angle (2θ from 5° to 70°):
| d (Å) | intensity |
| --- | --- |
| 4.181 | 31.5 |
| 3.384 | 40.2 |
| 2.829 | 100.0 |
| 2.630 | 43.0 |
| 2.505 | 32.2 |
| 2.442 | 25.6 |
| 1.980 | 18.2 |
| 1.827 | 20.3 |
| 1.748 | 22.0 |
| 1.398 | 17.0 |

Structural model:
Cell lengths 4.883, 6.767, 8.089 Å; angles 90.00, 90.00, 90.00 degrees
Fractional coordinates of all 10 atoms:
1 Sm 0.000 0.000 0.197
2 Sm 0.000 0.000 0.803
3 Sm 0.500 0.500 0.303
4 Sm 0.500 0.500 0.697
5 Dy 0.000 0.500 0.000
6 Dy 0.500 0.000 0.500
7 Al 0.000 0.302 0.500
8 Al 0.000 0.698 0.500
9 Al 0.500 0.198 0.000
10 Al 0.500 0.802 0.000